Diffraction record for Ti7Al3Zn. The powder diffraction line list is theoretical, not measured: it uses a GGA-PBE-relaxed structure and Cu Ka.

Structural model:
```
data_Ti7Al3Zn
_cell_length_a 11.757
_cell_length_b 11.757
_cell_length_c 10.657
_cell_angle_alpha 90.00
_cell_angle_beta 90.00
_cell_angle_gamma 165.51
_symmetry_space_group_name_H-M 'P 1'
_symmetry_Int_Tables_number 1
loop_
_symmetry_equiv_pos_as_xyz
'x,y,z'
loop_
_atom_site_label
_atom_site_type_symbol
_atom_site_fract_x
_atom_site_fract_y
_atom_site_fract_z
Ti1 Ti 0.005 0.995 0.623
Ti2 Ti 0.005 0.995 0.877
Ti3 Ti 0.126 0.874 0.250
Ti4 Ti 0.160 0.840 0.617
Ti5 Ti 0.160 0.840 0.883
Ti6 Ti 0.294 0.706 0.572
Ti7 Ti 0.294 0.706 0.928
Ti8 Ti 0.706 0.294 0.072
Ti9 Ti 0.706 0.294 0.428
Ti10 Ti 0.840 0.160 0.117
Ti11 Ti 0.840 0.160 0.383
Ti12 Ti 0.874 0.126 0.750
Ti13 Ti 0.995 0.005 0.123
Ti14 Ti 0.995 0.005 0.377
Al1 Al 0.260 0.740 0.250
Al2 Al 0.413 0.587 0.529
Al3 Al 0.413 0.587 0.971
Al4 Al 0.587 0.413 0.029
Al5 Al 0.587 0.413 0.471
Al6 Al 0.740 0.260 0.750
Zn1 Zn 0.418 0.582 0.250
Zn2 Zn 0.582 0.418 0.750
```

Largest 6 diffraction maxima, in order of rising 2θ, 5 to 70 degrees two-theta:
11.25°, rel. 32
39.79°, rel. 95
40.00°, rel. 46
40.74°, rel. 100
41.07°, rel. 63
45.96°, rel. 36


Diffraction record for Ti2Al3Zn3. The powder diffraction line list is theoretical, not measured: it uses a GGA-PBE-relaxed structure and Cu Ka.

Structural model:
```
data_Ti2Al3Zn3
_cell_length_a 3.939
_cell_length_b 3.975
_cell_length_c 7.789
_cell_angle_alpha 90.00
_cell_angle_beta 90.00
_cell_angle_gamma 90.00
_symmetry_space_group_name_H-M 'P 1'
_symmetry_Int_Tables_number 1
loop_
_symmetry_equiv_pos_as_xyz
'x,y,z'
loop_
_atom_site_label
_atom_site_type_symbol
_atom_site_fract_x
_atom_site_fract_y
_atom_site_fract_z
Ti1 Ti 0.000 0.000 0.247
Ti2 Ti 0.000 0.000 0.753
Al1 Al 0.000 0.500 0.000
Al2 Al 0.500 0.000 0.000
Al3 Al 0.500 0.000 0.500
Zn1 Zn 0.000 0.500 0.500
Zn2 Zn 0.500 0.500 0.252
Zn3 Zn 0.500 0.500 0.748
```

Largest 6 diffraction maxima, in order of rising 2θ, 5 to 70 degrees two-theta:
39.67°, rel. 100
45.65°, rel. 16
46.09°, rel. 16
46.65°, rel. 15
66.88°, rel. 10
67.32°, rel. 10